Calculated X-ray powder pattern of BaLi3Ag3 for Cu Ka, from DFT lattice parameters and positions (GGA-PBE).
Lines closer than 0.1° are merged.

```
BaLi3Ag3
1.0
3.7952 2.1912 6.5046
-3.7952 2.1912 6.5046
0.0000 -4.3823 6.5046
Ba Li Ag
2 6 6
Cartesian
0.0000 0.0000 2.5998
0.0000 0.0000 16.9139
0.0000 -1.6140 6.1647
-1.3977 0.8070 6.1647
-1.3977 -0.8070 13.3490
1.3977 0.8070 6.1647
1.3977 -0.8070 13.3491
0.0000 1.6140 13.3491
-1.4371 -0.8297 8.4494
0.0000 -1.6594 11.0643
-1.4371 0.8297 11.0643
1.4371 -0.8297 8.4494
0.0000 1.6594 8.4494
1.4371 0.8297 11.0643
```

Peak list (6 most intense, 2θ = 15–90°, in order of rising 2θ)
two_theta, d/Å, I (rel.)
27.50, 3.243, 100
32.86, 2.726, 82
34.96, 2.566, 40
35.72, 2.514, 54
37.35, 2.408, 36
43.59, 2.077, 42